1.
For RbMg14BO15, the PBE geometry in Alexandria gives the simulated X-ray powder pattern in this record (Cu Kα).
Kinematic intensities with the Lorentz-polarization factor, no thermal factor.

Crystal structure
a = 4.249 Å, b = 8.068 Å, c = 10.736 Å
α = 90.00°, β = 90.00°, γ = 90.00°
Space group Pmm2 (No. 25)
Symmetry-distinct sites (fractional):
Rb1 0.000 0.000 0.000 [1 per cell]
Mg1 0.000 0.000 0.459 [1 per cell]
Mg2 0.000 0.244 0.660 [2 per cell]
Mg3 0.000 0.253 0.251 [2 per cell]
Mg4 0.000 0.500 0.426 [1 per cell]
Mg5 0.500 0.000 0.260 [1 per cell]
Mg6 0.500 0.000 0.686 [1 per cell]
Mg7 0.500 0.252 0.447 [2 per cell]
Mg8 0.500 0.287 0.879 [2 per cell]
Mg9 0.500 0.500 0.166 [1 per cell]
Mg10 0.500 0.500 0.641 [1 per cell]
B1 0.000 0.500 0.794 [1 per cell]
O1 0.000 0.000 0.256 [1 per cell]
O2 0.000 0.000 0.651 [1 per cell]
O3 0.000 0.256 0.455 [2 per cell]
O4 0.000 0.342 0.844 [2 per cell]
O5 0.000 0.500 0.235 [1 per cell]
O6 0.500 0.000 0.453 [1 per cell]
O7 0.500 0.000 0.873 [1 per cell]
O8 0.500 0.248 0.239 [2 per cell]
O9 0.500 0.259 0.670 [2 per cell]
O10 0.500 0.500 0.460 [1 per cell]
O11 0.500 0.500 0.979 [1 per cell]

Principal peaks in the range 10° ≤ 2θ ≤ 90°, in order of rising 2θ:
(hkl)  two_theta  Rel. int.
0 1 3  27.26  27
1 1 2  29.00  68
0 0 4  33.37  50
1 2 2  34.93  45
0 0 5  42.08  48
2 0 0  42.56  100
0 4 0  44.94  68
2 4 0  63.62  41

---

2.
For RbMg6BO7, the PBE geometry in Alexandria gives the simulated X-ray powder pattern in this record (Cu Kα).
Kinematic intensities with the Lorentz-polarization factor, no thermal factor.

Crystal structure
a = 4.045 Å, b = 4.045 Å, c = 13.137 Å
α = 90.00°, β = 90.00°, γ = 90.00°
Space group P4mm (No. 99)
Symmetry-distinct sites (fractional):
Rb1 0.000 0.000 0.000 [1 per cell]
Mg1 0.000 0.000 0.517 [1 per cell]
Mg2 0.000 0.500 0.315 [2 per cell]
Mg3 0.000 0.500 0.719 [2 per cell]
Mg4 0.500 0.500 0.475 [1 per cell]
B1 0.500 0.500 0.846 [1 per cell]
O1 0.000 0.000 0.670 [1 per cell]
O2 0.000 0.500 0.484 [2 per cell]
O3 0.000 0.500 0.867 [2 per cell]
O4 0.500 0.500 0.315 [1 per cell]
O5 0.500 0.500 0.736 [1 per cell]

Principal peaks in the range 10° ≤ 2θ ≤ 90°, in order of rising 2θ:
(hkl)  two_theta  Rel. int.
0 0 2  13.48  52
1 0 1  23.00  62
1 0 2  25.87  100
0 0 4  27.15  41
1 0 3  30.07  41
1 1 2  34.18  96
2 0 0  44.81  96
1 1 5  46.97  37

---

3.
For RbMg14BO15, the PBE geometry in Alexandria gives the simulated X-ray powder pattern in this record (Cu Kα).
Kinematic intensities with the Lorentz-polarization factor, no thermal factor.

Crystal structure
a = 4.124 Å, b = 8.426 Å, c = 10.489 Å
α = 90.00°, β = 90.00°, γ = 90.00°
Space group Pmm2 (No. 25)
Symmetry-distinct sites (fractional):
Rb1 0.000 0.000 0.000 [1 per cell]
Mg1 0.000 0.000 0.463 [1 per cell]
Mg2 0.000 0.243 0.667 [2 per cell]
Mg3 0.000 0.245 0.266 [2 per cell]
Mg4 0.000 0.500 0.952 [1 per cell]
Mg5 0.500 0.000 0.264 [1 per cell]
Mg6 0.500 0.000 0.672 [1 per cell]
Mg7 0.500 0.246 0.866 [2 per cell]
Mg8 0.500 0.254 0.454 [2 per cell]
Mg9 0.500 0.500 0.224 [1 per cell]
Mg10 0.500 0.500 0.623 [1 per cell]
B1 0.000 0.500 0.438 [1 per cell]
O1 0.000 0.000 0.258 [1 per cell]
O2 0.000 0.000 0.654 [1 per cell]
O3 0.000 0.245 0.458 [2 per cell]
O4 0.000 0.296 0.861 [2 per cell]
O5 0.000 0.500 0.299 [1 per cell]
O6 0.500 0.000 0.460 [1 per cell]
O7 0.500 0.000 0.862 [1 per cell]
O8 0.500 0.247 0.245 [2 per cell]
O9 0.500 0.268 0.664 [2 per cell]
O10 0.500 0.500 0.016 [1 per cell]
O11 0.500 0.500 0.438 [1 per cell]

Principal peaks in the range 10° ≤ 2θ ≤ 90°, in order of rising 2θ:
(hkl)  two_theta  Rel. int.
0 1 0  10.50  52
0 2 2  27.15  36
1 1 2  29.52  46
1 2 2  34.92  55
0 4 0  42.94  99
0 0 5  43.12  49
2 0 0  43.91  100
2 4 0  63.09  56

---

4.
For Mg2TiBO5, the PBE geometry in Alexandria gives the simulated X-ray powder pattern in this record (Cu Kα).
Kinematic intensities with the Lorentz-polarization factor, no thermal factor.

Crystal structure
a = 9.402 Å, b = 12.476 Å, c = 3.046 Å
α = 90.00°, β = 90.00°, γ = 90.00°
Space group Pbam (No. 55)
Symmetry-distinct sites (fractional):
Mg1 0.000 0.000 0.000 [2 per cell]
Mg2 0.000 0.500 0.500 [2 per cell]
Mg3 0.004 0.219 0.500 [4 per cell]
Ti1 0.241 0.385 0.000 [4 per cell]
B1 0.226 0.640 0.000 [4 per cell]
O1 0.107 0.358 0.500 [4 per cell]
O2 0.114 0.923 0.500 [4 per cell]
O3 0.127 0.142 0.000 [4 per cell]
O4 0.150 0.543 0.000 [4 per cell]
O5 0.150 0.736 0.000 [4 per cell]

Principal peaks in the range 10° ≤ 2θ ≤ 90°, in order of rising 2θ:
(hkl)  two_theta  Rel. int.
1 2 0  17.06  87
2 4 0  34.51  82
2 0 1  35.11  100
2 5 0  40.95  33
3 2 1  43.92  65
4 4 1  57.69  35
0 0 2  60.83  29
1 7 1  61.04  30

---

5.
For Mg6TiBO8, the PBE geometry in Alexandria gives the simulated X-ray powder pattern in this record (Cu Kα).
Kinematic intensities with the Lorentz-polarization factor, no thermal factor.

Crystal structure
a = 4.226 Å, b = 4.226 Å, c = 8.736 Å
α = 90.00°, β = 90.00°, γ = 90.00°
Space group P4/mmm (No. 123)
Symmetry-distinct sites (fractional):
Mg1 0.000 0.000 0.000 [1 per cell]
Mg2 0.000 0.500 0.249 [4 per cell]
Mg3 0.500 0.500 0.000 [1 per cell]
Ti1 0.000 0.000 0.500 [1 per cell]
B1 0.500 0.500 0.500 [1 per cell]
O1 0.000 0.000 0.254 [2 per cell]
O2 0.000 0.500 0.000 [2 per cell]
O3 0.000 0.500 0.500 [2 per cell]
O4 0.500 0.500 0.236 [2 per cell]

Principal peaks in the range 10° ≤ 2θ ≤ 90°, in order of rising 2θ:
(hkl)  two_theta  Rel. int.
1 0 0  21.02  9
1 0 1  23.38  17
1 1 2  36.43  17
0 0 4  41.34  55
2 0 0  42.80  100
2 0 4  61.02  58
2 2 0  62.13  28
2 2 4  77.39  26

---

6.
For MgTiBO4, the PBE geometry in Alexandria gives the simulated X-ray powder pattern in this record (Cu Kα).
Kinematic intensities with the Lorentz-polarization factor, no thermal factor.

Crystal structure
a = 3.137 Å, b = 9.494 Å, c = 9.442 Å
α = 90.00°, β = 90.00°, γ = 90.00°
Space group Pmc2_1 (No. 26)
Symmetry-distinct sites (fractional):
Mg1 0.000 0.060 0.000 [2 per cell]
Mg2 0.000 0.316 0.520 [2 per cell]
Ti1 0.500 0.179 0.286 [2 per cell]
Ti2 0.500 0.442 0.799 [2 per cell]
B1 0.000 0.373 0.070 [2 per cell]
B2 0.500 0.126 0.731 [2 per cell]
O1 0.000 0.133 0.404 [2 per cell]
O2 0.000 0.243 0.134 [2 per cell]
O3 0.000 0.382 0.924 [2 per cell]
O4 0.000 0.500 0.145 [2 per cell]
O5 0.500 0.001 0.651 [2 per cell]
O6 0.500 0.120 0.875 [2 per cell]
O7 0.500 0.258 0.661 [2 per cell]
O8 0.500 0.369 0.373 [2 per cell]

Principal peaks in the range 10° ≤ 2θ ≤ 90°, in order of rising 2θ:
(hkl)  two_theta  Rel. int.
0 2 1  20.95  33
0 3 1  29.77  27
0 3 2  34.13  53
1 0 2  34.32  100
1 2 3  45.04  31
1 3 3  50.17  24
1 3 4  56.82  30
1 2 5  60.45  23

---

7.
For Mg3TiB2O8, the PBE geometry in Alexandria gives the simulated X-ray powder pattern in this record (Cu Kα).
Kinematic intensities with the Lorentz-polarization factor, no thermal factor.

Crystal structure
a = 3.133 Å, b = 9.467 Å, c = 9.391 Å
α = 90.00°, β = 90.00°, γ = 90.00°
Space group Pmc2_1 (No. 26)
Symmetry-distinct sites (fractional):
Mg1 0.000 0.065 0.000 [2 per cell]
Mg2 0.500 0.180 0.270 [2 per cell]
Mg3 0.500 0.429 0.797 [2 per cell]
Ti1 0.000 0.317 0.505 [2 per cell]
B1 0.000 0.380 0.070 [2 per cell]
B2 0.500 0.119 0.726 [2 per cell]
O1 0.000 0.145 0.420 [2 per cell]
O2 0.000 0.250 0.139 [2 per cell]
O3 0.000 0.390 0.926 [2 per cell]
O4 0.000 0.493 0.650 [2 per cell]
O5 0.500 0.003 0.145 [2 per cell]
O6 0.500 0.116 0.870 [2 per cell]
O7 0.500 0.253 0.654 [2 per cell]
O8 0.500 0.370 0.399 [2 per cell]

Principal peaks in the range 10° ≤ 2θ ≤ 90°, in order of rising 2θ:
(hkl)  two_theta  Rel. int.
0 1 1  13.28  42
0 3 1  29.87  27
0 3 2  34.24  35
1 0 2  34.41  100
0 4 2  42.79  26
1 2 3  45.20  28
1 3 3  50.34  26
1 3 4  57.05  26

---

8.
For YMg2B2O6, the PBE geometry in Alexandria gives the simulated X-ray powder pattern in this record (Cu Kα).
Kinematic intensities with the Lorentz-polarization factor, no thermal factor.

Crystal structure
a = 4.9784 Å, b = 4.9784 Å, c = 7.6979 Å
α = 90.00°, β = 90.00°, γ = 120.00°
Space group P-3 (No. 147)
Symmetry-distinct sites (fractional):
Y1 0.0000 0.0000 0.0000 [1 per cell]
Mg1 0.3333 0.6667 0.2887 [2 per cell]
B1 0.3333 0.6667 0.8132 [2 per cell]
O1 0.0534 0.6638 0.8165 [6 per cell]

Principal peaks in the range 10° ≤ 2θ ≤ 90°, in order of rising 2θ:
(hkl)  two_theta  Rel. int.
0 0 1  11.50  100
0 1 1  23.65  52
1 0 2  31.15  59
1 1 0  36.08  14
2 -1 1  37.99  17
1 0 3  40.93  13
2 0 1  43.60  16
1 1 3  51.12  17